This entry pairs a crystal structure of PrDy7Sc4 with its theoretical X-ray diffraction stick pattern. Radiation: Cu Kα (weighted mean of Kα1 and Kα2). Structure: a structure optimized by DFT (PBE).

Atomic structure:
abc: 6.0485 6.9867 8.5843
angles: 89.96 76.24 89.99
Space group P-1 (No. 2)
Unique sites:
Pr: 0.0000 0.0000 0.0000 x1
Dy: 0.0000 0.5000 0.0000 x1
Dy: 0.2249 0.0007 0.3376 x2
Dy: 0.2847 0.7424 0.6596 x2
Dy: 0.4979 0.2557 0.9951 x2
Sc: 0.2160 0.4997 0.3404 x2
Sc: 0.2748 0.2563 0.6617 x2

Top 12 peaks for 2θ from 5° to 70°, sorted by position:
h k l, d (Å), 2theta, intensity
0 1 1, 5.357, 16.55, 12
1 -2 0, 3.003, 29.75, 52
0 0 3, 2.779, 32.21, 49
1 2 -1, 2.723, 32.89, 100
1 2 2, 2.588, 34.65, 96
-1 2 3, 1.929, 47.12, 12
3 2 1, 1.746, 52.39, 37
1 2 -4, 1.622, 56.74, 13
1 2 5, 1.539, 60.10, 14
3 2 4, 1.480, 62.78, 21
3 2 -2, 1.477, 62.91, 21
-2 4 1, 1.448, 64.35, 15